For Na2ZnGaF8, a cell relaxed with GGA-PBE gives the theoretical PXRD pattern in this record (CuKα).

Most intense lines, 2θ = 10–80°, in order of rising 2θ:
Position (°2θ)  I/Imax  h k l
17.66  100  0 0 1
24.44  80  1 0 -1
25.71  52  1 0 1
33.39  61  0 2 1
37.58  48  1 2 -1
48.97  30  1 2 -2
49.08  29  2 2 -1
52.84  19  2 0 2
62.61  16  0 2 3
62.90  16  3 2 0

Atomic structure:
Lattice parameters (Å, degrees): 5.0141 6.3494 5.0408 90.00 92.86 90.00
Element x y z (fractional)
Na  0.0000  0.2464  0.0000
Na  0.0000  0.7536  0.0000
Zn  0.5000  0.5000  0.5000
Ga  0.5000  0.0000  0.5000
F  0.2305  0.0000  0.2322
F  0.2296  0.5000  0.2314
F  0.3240  0.2370  0.6765
F  0.3240  0.7630  0.6765
F  0.6760  0.2370  0.3235
F  0.6760  0.7630  0.3235
F  0.7695  0.0000  0.7678
F  0.7704  0.5000  0.7686